No. 1
Pr3NdTh: simulated powder diffraction line list (CuKα), based on a cell relaxed with PBE.
Lines closer than 0.1° are merged.

Main lines, by angle (2θ from 10° to 80°):
d/Å  intensity  hkl
3.117  21  1 0 2
3.036  73  1 0 3
3.002  67  0 0 10
2.933  100  1 0 4
2.687  87  1 0 6
2.558  39  1 0 7
1.839  50  1 1 0
1.779  21  1 0 14
1.617  20  1 0 16
1.568  59  1 1 10

Structure:
```
Pr3NdTh
1.0
3.6789 0.0000 0.0000
-1.8394 3.1860 0.0000
0.0000 0.0000 30.0206
Pr Nd Th
6 2 2
Direct
0.0000 0.0000 0.0000
0.0000 0.0000 0.5000
0.3333 0.6667 0.1047
0.3333 0.6667 0.7961
0.6667 0.3333 0.2961
0.6667 0.3333 0.6047
0.3333 0.6667 0.4012
0.6667 0.3333 0.9012
0.0000 0.0000 0.2003
0.0000 0.0000 0.7003
```

No. 2
Er2Si4Ni3Rh: simulated powder diffraction line list (CuKα), based on a cell relaxed with PBE.
Lines closer than 0.1° are merged.

Main lines, by angle (2θ from 10° to 80°):
d/Å  intensity  hkl
3.651  35  1 0 1
2.787  19  1 1 0
2.499  69  1 0 3
2.416  100  1 1 2
1.971  47  2 0 0
1.740  25  1 0 5
1.547  31  2 1 3
1.393  15  2 2 0
1.304  19  2 1 5
1.207  27  3 1 2

Structure:
```
Er2Si4Ni3Rh
1.0
3.9411 0.0000 0.0000
0.0000 3.9411 0.0000
0.0000 0.0000 9.6944
Er Si Ni Rh
2 4 3 1
Direct
0.0000 0.5000 0.2418
0.5000 0.0000 0.7582
0.0000 0.0000 0.0000
0.0000 0.5000 0.6392
0.5000 0.0000 0.3608
0.5000 0.5000 0.0000
0.0000 0.5000 0.8752
0.5000 0.0000 0.1248
0.5000 0.5000 0.5000
0.0000 0.0000 0.5000
```